Structure and simulated X-ray diffraction stick pattern of Rb2Pu3AsO12 (a crystal structure in Alexandria, relaxed with PBE; CuKα).
Intensities are scaled so that the largest is 100.

Structural model:
Cell: 7.452 7.452 7.452 Å, 62.95 62.95 62.95°
Fractional positions:
Rb  0.132  0.132  0.132
Rb  0.868  0.868  0.868
Pu  0.000  0.500  0.500
Pu  0.500  0.000  0.500
Pu  0.500  0.500  0.000
As  0.500  0.500  0.500
O  0.177  0.177  0.559
O  0.177  0.559  0.177
O  0.211  0.558  0.558
O  0.441  0.823  0.823
O  0.443  0.442  0.789
O  0.443  0.789  0.443
O  0.558  0.211  0.558
O  0.558  0.557  0.211
O  0.559  0.177  0.177
O  0.789  0.443  0.442
O  0.823  0.441  0.823
O  0.823  0.823  0.441

Main lines, sorted by position (10 to 90 degrees two-theta):
14.05°, rel. 43.8; 14.90°, rel. 52.7; 26.93°, rel. 78.3; 27.40°, rel. 60.5; 28.31°, rel. 100.0; 46.69°, rel. 33.5; 48.99°, rel. 33.2; 56.54°, rel. 27.1

Structure and simulated X-ray diffraction stick pattern of TaCd2Ag (a crystal structure in Alexandria, relaxed with PBE; CuKα).
Intensities are scaled so that the largest is 100.

Structural model:
Cell: 2.861 4.296 6.282 Å, 90.00 90.16 90.00°
Fractional positions:
Ta  0.000  0.000  0.000
Cd  0.500  0.500  0.252
Cd  0.500  0.500  0.748
Ag  0.000  0.000  0.500

Main lines, sorted by position (10 to 90 degrees two-theta):
35.40°, rel. 100.0; 37.77°, rel. 83.6; 42.06°, rel. 30.7; 42.69°, rel. 29.4; 42.81°, rel. 29.2; 61.53°, rel. 38.6; 71.94°, rel. 12.0; 72.12°, rel. 12.0

Structure and simulated X-ray diffraction stick pattern of BaSiAs2Au (a crystal structure in Alexandria, relaxed with PBE; CuKα).
Intensities are scaled so that the largest is 100.

Structural model:
Cell: 6.704 6.704 7.299 Å, 90.00 90.00 125.58°
Fractional positions:
Ba  0.250  0.750  0.762
Ba  0.750  0.250  0.238
Si  0.250  0.250  0.000
Si  0.750  0.750  0.000
As  0.102  0.898  0.201
As  0.398  0.602  0.201
As  0.602  0.398  0.799
As  0.898  0.102  0.799
Au  0.000  0.000  0.500
Au  0.500  0.500  0.500

Main lines, sorted by position (10 to 90 degrees two-theta):
14.86°, rel. 32.6; 19.22°, rel. 48.5; 28.68°, rel. 73.8; 29.13°, rel. 71.5; 29.45°, rel. 100.0; 35.14°, rel. 42.0; 41.34°, rel. 37.5; 61.10°, rel. 30.7

Structure and simulated X-ray diffraction stick pattern of LiAg (a crystal structure in Alexandria, relaxed with PBE; CuKα).
Intensities are scaled so that the largest is 100.

Structural model:
Cell: 8.262 8.262 4.394 Å, 90.00 90.00 90.00°
Fractional positions:
Li  0.000  0.292  0.000
Li  0.000  0.708  0.000
Li  0.208  0.500  0.500
Li  0.292  0.000  0.000
Li  0.500  0.208  0.500
Li  0.500  0.792  0.500
Li  0.708  0.000  0.000
Li  0.792  0.500  0.500
Ag  0.171  0.171  0.500
Ag  0.171  0.829  0.500
Ag  0.329  0.329  0.000
Ag  0.329  0.671  0.000
Ag  0.671  0.329  0.000
Ag  0.671  0.671  0.000
Ag  0.829  0.171  0.500
Ag  0.829  0.829  0.500

Main lines, sorted by position (10 to 90 degrees two-theta):
15.17°, rel. 22.1; 21.51°, rel. 62.2; 22.92°, rel. 78.0; 34.32°, rel. 28.2; 38.58°, rel. 100.0; 41.08°, rel. 21.2; 44.60°, rel. 36.0; 46.64°, rel. 27.9

Structure and simulated X-ray diffraction stick pattern of DyPd4Au3 (a crystal structure in Alexandria, relaxed with PBE; CuKα).
Intensities are scaled so that the largest is 100.

Structural model:
Cell: 9.412 6.033 4.937 Å, 90.00 90.00 90.00°
Fractional positions:
Dy  0.000  0.000  0.000
Dy  0.500  0.000  0.000
Pd  0.000  0.254  0.500
Pd  0.000  0.746  0.500
Pd  0.250  0.259  0.141
Pd  0.250  0.741  0.141
Pd  0.500  0.254  0.500
Pd  0.500  0.746  0.500
Pd  0.750  0.259  0.859
Pd  0.750  0.741  0.859
Au  0.000  0.500  0.000
Au  0.250  0.000  0.611
Au  0.250  0.500  0.644
Au  0.500  0.500  0.000
Au  0.750  0.000  0.389
Au  0.750  0.500  0.356

Main lines, sorted by position (10 to 90 degrees two-theta):
36.18°, rel. 27.3; 37.67°, rel. 21.8; 38.25°, rel. 40.9; 39.92°, rel. 100.0; 41.30°, rel. 18.5; 45.59°, rel. 14.3; 70.27°, rel. 19.6; 77.54°, rel. 16.1

Structure and simulated X-ray diffraction stick pattern of Tb3S2 (a crystal structure in Alexandria, relaxed with PBE; CuKα).
Intensities are scaled so that the largest is 100.

Structural model:
Cell: 7.442 7.442 7.442 Å, 53.74 53.74 53.74°
Fractional positions:
Tb  0.080  0.750  0.420
Tb  0.250  0.580  0.920
Tb  0.420  0.080  0.750
Tb  0.580  0.920  0.250
Tb  0.750  0.420  0.080
Tb  0.920  0.250  0.580
S  0.163  0.163  0.163
S  0.337  0.337  0.337
S  0.663  0.663  0.663
S  0.837  0.837  0.837

Main lines, sorted by position (10 to 90 degrees two-theta):
28.11°, rel. 19.4; 30.07°, rel. 100.0; 39.02°, rel. 26.8; 46.78°, rel. 25.4; 50.99°, rel. 23.1; 55.47°, rel. 18.2; 56.62°, rel. 16.8; 76.41°, rel. 13.9

Structure and simulated X-ray diffraction stick pattern of MnSnIrSe (a crystal structure in Alexandria, relaxed with PBE; CuKα).
Intensities are scaled so that the largest is 100.

Structural model:
Cell: 3.280 3.540 6.200 Å, 90.00 90.00 90.00°
Fractional positions:
Mn  0.000  0.000  0.000
Sn  0.000  0.000  0.492
Ir  0.500  0.500  0.274
Se  0.500  0.500  0.872

Main lines, sorted by position (10 to 90 degrees two-theta):
14.29°, rel. 48.5; 29.04°, rel. 22.8; 37.37°, rel. 100.0; 38.60°, rel. 66.8; 40.02°, rel. 60.5; 51.63°, rel. 19.7; 67.26°, rel. 26.2; 70.14°, rel. 23.2

Structure and simulated X-ray diffraction stick pattern of SrGeIr2Br (a crystal structure in Alexandria, relaxed with PBE; CuKα).
Intensities are scaled so that the largest is 100.

Structural model:
Cell: 4.803 4.803 5.143 Å, 90.00 90.00 90.00°
Fractional positions:
Sr  0.000  0.000  0.000
Ge  0.500  0.500  0.000
Ir  0.000  0.500  0.500
Ir  0.500  0.000  0.500
Br  0.500  0.500  0.500

Main lines, sorted by position (10 to 90 degrees two-theta):
17.24°, rel. 44.5; 31.57°, rel. 100.0; 34.89°, rel. 35.4; 37.45°, rel. 58.4; 52.11°, rel. 45.2; 54.00°, rel. 20.3; 63.91°, rel. 27.0; 65.92°, rel. 22.3

Structure and simulated X-ray diffraction stick pattern of HfBe3Al (a crystal structure in Alexandria, relaxed with PBE; CuKα).
Intensities are scaled so that the largest is 100.

Structural model:
Cell: 4.134 4.134 4.134 Å, 90.00 90.00 90.00°
Fractional positions:
Hf  0.000  0.000  0.000
Be  0.000  0.500  0.500
Be  0.500  0.000  0.500
Be  0.500  0.500  0.000
Al  0.500  0.500  0.500

Main lines, sorted by position (10 to 90 degrees two-theta):
21.49°, rel. 60.4; 30.58°, rel. 100.0; 37.69°, rel. 27.5; 43.80°, rel. 23.6; 49.29°, rel. 28.7; 54.36°, rel. 40.2; 72.27°, rel. 17.2; 88.49°, rel. 21.1

Structure and simulated X-ray diffraction stick pattern of CsTcHBr6 (a crystal structure in Alexandria, relaxed with PBE; CuKα).
Intensities are scaled so that the largest is 100.

Structural model:
Cell: 6.650 6.864 7.560 Å, 70.49 73.62 87.25°
Fractional positions:
Cs  0.000  0.000  0.000
Tc  0.500  0.500  0.500
H  0.000  0.500  0.500
Br  0.191  0.337  0.442
Br  0.261  0.545  0.805
Br  0.422  0.854  0.301
Br  0.578  0.146  0.699
Br  0.739  0.455  0.195
Br  0.809  0.663  0.558

Main lines, sorted by position (10 to 90 degrees two-theta):
15.40°, rel. 83.7; 16.11°, rel. 66.4; 25.87°, rel. 74.9; 26.28°, rel. 69.2; 28.30°, rel. 72.0; 29.32°, rel. 94.1; 31.94°, rel. 100.0; 35.24°, rel. 81.9

Structure and simulated X-ray diffraction stick pattern of LaMg4Pb (a crystal structure in Alexandria, relaxed with PBE; CuKα).
Intensities are scaled so that the largest is 100.

Structural model:
Cell: 6.122 6.122 6.122 Å, 60.00 60.00 60.00°
Fractional positions:
La  0.000  0.000  0.000
Mg  0.125  0.625  0.625
Mg  0.625  0.125  0.625
Mg  0.625  0.625  0.125
Mg  0.625  0.625  0.625
Pb  0.250  0.250  0.250

Main lines, sorted by position (10 to 90 degrees two-theta):
17.74°, rel. 69.3; 29.17°, rel. 100.0; 34.35°, rel. 99.1; 51.72°, rel. 41.6; 55.12°, rel. 34.4; 60.49°, rel. 21.7; 83.56°, rel. 21.7; 86.30°, rel. 22.3

Structure and simulated X-ray diffraction stick pattern of AlGa3Pd3 (a crystal structure in Alexandria, relaxed with PBE; CuKα).
Intensities are scaled so that the largest is 100.

Structural model:
Cell: 5.555 5.555 7.783 Å, 90.14 90.14 109.55°
Fractional positions:
Al  0.200  0.200  0.046
Al  0.800  0.800  0.954
Ga  0.069  0.069  0.659
Ga  0.268  0.732  0.000
Ga  0.346  0.654  0.500
Ga  0.654  0.346  0.500
Ga  0.732  0.268  0.000
Ga  0.931  0.931  0.341
Pd  0.010  0.449  0.270
Pd  0.449  0.010  0.270
Pd  0.457  0.457  0.789
Pd  0.543  0.543  0.211
Pd  0.551  0.990  0.730
Pd  0.990  0.551  0.730

Main lines, sorted by position (10 to 90 degrees two-theta):
22.85°, rel. 27.0; 34.26°, rel. 31.5; 34.74°, rel. 46.8; 36.22°, rel. 38.7; 39.73°, rel. 32.0; 40.28°, rel. 31.4; 41.51°, rel. 42.7; 41.65°, rel. 100.0

Structure and simulated X-ray diffraction stick pattern of Zn3MoBr9 (a crystal structure in Alexandria, relaxed with PBE; CuKα).
Intensities are scaled so that the largest is 100.

Structural model:
Cell: 10.083 10.083 13.074 Å, 123.22 123.22 55.04°
Fractional positions:
Zn  0.054  0.946  0.500
Zn  0.280  0.512  0.594
Zn  0.512  0.280  0.094
Zn  0.562  0.710  0.447
Zn  0.710  0.562  0.947
Zn  0.946  0.054  0.000
Mo  0.042  0.491  0.775
Mo  0.491  0.042  0.275
Br  0.018  0.732  0.505
Br  0.048  0.780  0.830
Br  0.073  0.178  0.711
Br  0.166  0.351  0.590
Br  0.178  0.073  0.211
Br  0.250  0.795  0.379
Br  0.351  0.166  0.090
Br  0.357  0.428  0.938
Br  0.428  0.357  0.438
Br  0.444  0.683  0.787
Br  0.580  0.961  0.472
Br  0.611  0.715  0.136
Br  0.683  0.444  0.287
Br  0.715  0.611  0.636
Br  0.732  0.018  0.005
Br  0.780  0.048  0.330
Br  0.795  0.250  0.879
Br  0.961  0.580  0.972

Main lines, sorted by position (10 to 90 degrees two-theta):
16.49°, rel. 100.0; 26.79°, rel. 47.9; 28.25°, rel. 46.8; 29.05°, rel. 27.4; 31.90°, rel. 35.3; 40.00°, rel. 27.2; 41.24°, rel. 30.1; 42.34°, rel. 29.1